Entry 1:
Diffraction record for TcSnH2W. The powder diffractogram is calculated, not measured: it uses a DFT-relaxed cell (PBE, Alexandria) and copper Kα.
Kinematic intensities with the Lorentz-polarization factor, no thermal factor.

```
data_TcSnH2W
_cell_length_a 3.1185
_cell_length_b 3.1213
_cell_length_c 6.2690
_cell_angle_alpha 90.00
_cell_angle_beta 90.00
_cell_angle_gamma 90.00
_symmetry_space_group_name_H-M 'P m m 2'
_symmetry_Int_Tables_number 25
loop_
_symmetry_equiv_pos_as_xyz
'x,y,z'
'-x,-y,z'
'-x,y,z'
'x,-y,z'
loop_
_atom_site_label
_atom_site_fract_x
_atom_site_fract_y
_atom_site_fract_z
_atom_site_occupancy
Tc1 0.0000 0.0000 0.0000 1
Sn1 0.0000 0.5000 0.3696 1
H1 0.5000 0.0000 0.1452 1
H2 0.5000 0.0000 0.5968 1
W1 0.5000 0.5000 0.7572 1
```

Main lines, by angle (10° ≤ 2θ ≤ 90°):
hkl 0 0 1, 2θ = 14.13°, I 29
hkl 0 1 0, 2θ = 28.60°, I 24
hkl 1 0 1, 2θ = 32.05°, I 100
hkl 0 1 2, 2θ = 40.81°, I 88
hkl 1 1 1, 2θ = 43.49°, I 85
hkl 0 1 3, 2θ = 52.72°, I 28
hkl 2 0 0, 2θ = 59.23°, I 26
hkl 1 2 1, 2θ = 68.94°, I 23
hkl 1 1 4, 2θ = 74.23°, I 26
hkl 2 1 2, 2θ = 74.43°, I 30


Entry 2:
Diffraction record for Li2Mg2Cu2Ag. The powder diffractogram is calculated, not measured: it uses a DFT-relaxed cell (PBE, Alexandria) and copper Kα.
Kinematic intensities with the Lorentz-polarization factor, no thermal factor.

```
data_Li2Mg2Cu2Ag
_cell_length_a 8.2791
_cell_length_b 4.1748
_cell_length_c 6.5768
_cell_angle_alpha 90.00
_cell_angle_beta 103.28
_cell_angle_gamma 90.00
_symmetry_space_group_name_H-M 'C 1 2/m 1'
_symmetry_Int_Tables_number 12
loop_
_symmetry_equiv_pos_as_xyz
'x,y,z'
'-x,-y,-z'
'-x,y,-z'
'x,-y,z'
'x+1/2,y+1/2,z'
'-x+1/2,-y+1/2,-z'
'-x+1/2,y+1/2,-z'
'x+1/2,-y+1/2,z'
loop_
_atom_site_label
_atom_site_fract_x
_atom_site_fract_y
_atom_site_fract_z
_atom_site_occupancy
Li1 0.0745 0.0000 0.1883 1
Mg1 0.2129 0.0000 0.6713 1
Cu1 0.1368 0.5000 0.9271 1
Ag1 0.0000 0.5000 0.5000 1
```

Main lines, by angle (10° ≤ 2θ ≤ 90°):
hkl 2 0 -1, 2θ = 23.23°, I 53
hkl 1 1 0, 2θ = 24.01°, I 100
hkl 0 0 2, 2θ = 27.88°, I 27
hkl 1 1 2, 2θ = 39.08°, I 80
hkl 3 1 -1, 2θ = 39.67°, I 77
hkl 2 0 -3, 2θ = 43.18°, I 29
hkl 0 2 0, 2θ = 43.35°, I 30
hkl 1 1 -3, 2θ = 46.83°, I 20
hkl 4 0 1, 2θ = 50.53°, I 18
hkl 2 2 -3, 2θ = 62.85°, I 17


Entry 3:
Diffraction record for TbScS. The powder diffractogram is calculated, not measured: it uses a DFT-relaxed cell (PBE, Alexandria) and copper Kα.
Kinematic intensities with the Lorentz-polarization factor, no thermal factor.

```
data_TbScS
_cell_length_a 3.6990
_cell_length_b 3.6990
_cell_length_c 17.7663
_cell_angle_alpha 90.00
_cell_angle_beta 90.00
_cell_angle_gamma 120.00
_symmetry_space_group_name_H-M 'R 3 m'
_symmetry_Int_Tables_number 160
_symmetry_space_group_name_Hall 'R 3 -2"'
loop_
_atom_site_label
_atom_site_fract_x
_atom_site_fract_y
_atom_site_fract_z
_atom_site_occupancy
Tb1 0.0000 0.0000 0.0000 1
Sc1 0.0000 0.0000 0.5066 1
S1 0.0000 0.0000 0.7626 1
```

Main lines, by angle (10° ≤ 2θ ≤ 90°):
hkl 0 0 3, 2θ = 14.96°, I 52
hkl 1 0 1, 2θ = 28.31°, I 44
hkl 0 1 2, 2θ = 29.65°, I 78
hkl 0 0 6, 2θ = 30.18°, I 26
hkl 1 0 4, 2θ = 34.52°, I 100
hkl 0 1 5, 2θ = 37.81°, I 25
hkl 1 1 0, 2θ = 49.27°, I 36
hkl 0 1 8, 2θ = 49.97°, I 33
hkl 1 1 6, 2θ = 58.87°, I 23
hkl 0 2 4, 2θ = 61.55°, I 18


Entry 4:
Diffraction record for NdTm2Tc. The powder diffractogram is calculated, not measured: it uses a DFT-relaxed cell (PBE, Alexandria) and copper Kα.
Kinematic intensities with the Lorentz-polarization factor, no thermal factor.

```
data_NdTm2Tc
_cell_length_a 7.5173
_cell_length_b 9.0419
_cell_length_c 6.3024
_cell_angle_alpha 90.00
_cell_angle_beta 90.00
_cell_angle_gamma 90.00
_symmetry_space_group_name_H-M 'P n m a'
_symmetry_Int_Tables_number 62
loop_
_symmetry_equiv_pos_as_xyz
'x,y,z'
'-x,-y,-z'
'-x+1/2,-y,z+1/2'
'x+1/2,y,-z+1/2'
'x+1/2,-y+1/2,-z+1/2'
'-x+1/2,y+1/2,z+1/2'
'-x,y+1/2,-z'
'x,-y+1/2,z'
loop_
_atom_site_label
_atom_site_fract_x
_atom_site_fract_y
_atom_site_fract_z
_atom_site_occupancy
Nd1 0.0411 0.2500 0.1234 1
Tm1 0.1746 0.0642 0.6545 1
Tc1 0.1175 0.7500 0.4506 1
```

Main lines, by angle (10° ≤ 2θ ≤ 90°):
hkl 2 1 1, 2θ = 29.38°, I 50
hkl 1 0 2, 2θ = 30.77°, I 76
hkl 2 2 0, 2θ = 30.94°, I 72
hkl 1 1 2, 2θ = 32.36°, I 100
hkl 0 3 1, 2θ = 32.94°, I 90
hkl 2 2 1, 2θ = 34.13°, I 85
hkl 1 3 1, 2θ = 35.10°, I 87
hkl 1 2 2, 2θ = 36.76°, I 47
hkl 3 0 1, 2θ = 38.65°, I 70
hkl 3 3 2, 2θ = 55.93°, I 48


> Which formula does entry 3 have?

TbScS